1.
Diffraction record for Na5LuMo4O16. The PXRD pattern is theoretical, not measured: it uses DFT lattice parameters and positions (PBE+U) and Cu Kα, 1.54184 Å.
Peak positions follow from Bragg's law for the DFT cell and can differ from measured ones.

Top 12 peaks for 2θ = 15–90°, low angle first:
2θ (°)	d_spacing	I_rel	index
18.91	4.692	24.2	2 1 1
24.50	3.633	26.1	3 0 1
29.08	3.071	100.0	3 1 2
31.16	2.870	9.2	0 0 4
34.91	2.570	15.5	2 4 0
40.01	2.253	10.1	3 4 1
47.48	1.915	22.9	2 4 4
48.86	1.864	12.7	6 1 1
50.19	1.818	9.6	6 2 0
54.16	1.694	15.7	3 1 6
59.06	1.564	19.7	1 7 2
76.95	1.239	9.9	5 5 6

Cell and atoms:
```
data_Na5LuMo4O16
_cell_length_a 11.496
_cell_length_b 11.496
_cell_length_c 11.480
_cell_angle_alpha 90.00
_cell_angle_beta 90.00
_cell_angle_gamma 90.00
_symmetry_space_group_name_H-M 'I 41/a'
_symmetry_Int_Tables_number 88
loop_
_symmetry_equiv_pos_as_xyz
'x,y,z'
'-x,-y,-z'
'-y+3/4,x+1/4,z+1/4'
'y+3/4,-x+1/4,-z+1/4'
'-x+1/2,-y,z+1/2'
'x+1/2,y,-z+1/2'
'y+3/4,-x+3/4,z+3/4'
'-y+3/4,x+3/4,-z+3/4'
'x+1/2,y+1/2,z+1/2'
'-x+1/2,-y+1/2,-z+1/2'
'-y+1/4,x+3/4,z+3/4'
'y+1/4,-x+3/4,-z+3/4'
'-x,-y+1/2,z'
'x,y+1/2,-z'
'y+1/4,-x+1/4,z+1/4'
'-y+1/4,x+1/4,-z+1/4'
loop_
_atom_site_label
_atom_site_fract_x
_atom_site_fract_y
_atom_site_fract_z
Na1 0.000 0.250 0.125
Na2 0.120 0.454 0.844
Lu1 0.000 0.250 0.625
Mo1 0.092 0.432 0.364
O1 0.031 0.102 0.274
O2 0.061 0.141 0.786
O3 0.081 0.074 0.563
O4 0.178 0.034 0.977
```


2.
Diffraction record for Lu2Mo4O15. The PXRD pattern is theoretical, not measured: it uses DFT lattice parameters and positions (PBE+U) and Cu Kα, 1.54184 Å.
Peak positions follow from Bragg's law for the DFT cell and can differ from measured ones.

Top 12 peaks for 2θ = 15–90°, low angle first:
2θ (°)	d_spacing	I_rel	index
17.22	5.149	18.6	0 0 2
19.98	4.443	62.9	1 1 1
21.14	4.203	33.0	1 1 -2
24.46	3.639	26.3	1 0 2
25.38	3.509	100.0	0 2 2
26.63	3.347	43.7	1 2 -2
27.79	3.210	31.2	2 1 -1
28.16	3.169	31.3	2 0 -2
31.08	2.877	21.1	1 3 0
32.94	2.719	23.8	2 2 0
34.02	2.636	31.3	1 0 -4
45.25	2.004	21.8	3 1 1

Cell and atoms:
```
data_Lu2Mo4O15
_cell_length_a 6.830
_cell_length_b 9.589
_cell_length_c 10.645
_cell_angle_alpha 90.00
_cell_angle_beta 104.67
_cell_angle_gamma 90.00
_symmetry_space_group_name_H-M 'P 1 21/c 1'
_symmetry_Int_Tables_number 14
loop_
_symmetry_equiv_pos_as_xyz
'x,y,z'
'-x,-y,-z'
'-x,y+1/2,-z+1/2'
'x,-y+1/2,z+1/2'
loop_
_atom_site_label
_atom_site_fract_x
_atom_site_fract_y
_atom_site_fract_z
Lu1 0.206 0.022 0.275
Mo1 0.078 0.743 0.009
Mo2 0.384 0.095 0.842
O1 0.033 0.125 0.401
O2 0.118 0.161 0.102
O3 0.124 0.051 0.811
O4 0.219 0.650 0.915
O5 0.242 0.636 0.619
O6 0.383 0.220 0.347
O7 0.460 0.028 0.706
O8 0.500 0.000 0.000
```